This entry pairs a crystal structure of Na3CoF6 with its calculated powder X-ray diffraction pattern. Radiation: Cu Kα X-rays. Structure: a cell relaxed with GGA+U.
Neutral-atom scattering factors, no anomalous dispersion.

Most intense lines, 10° ≤ 2θ ≤ 90°, most intense first:
Position (°2θ)  intensity
19.21  100
22.36  81
32.09  73
45.67  72
31.50  57
56.46  39
37.93  28
57.58  26
31.60  25
45.50  21

Crystal structure
```
Na3CoF6
1.0
4.8079 -2.8310 0.0000
4.8079 2.8310 0.0000
-3.1178 0.0000 4.6257
Na Co F
3 1 6
Cartesian
0.0000 0.0000 0.0000
0.1337 0.0000 3.3244
6.3641 0.0000 1.3013
3.2489 0.0000 2.3128
2.1289 1.3123 3.0320
2.2181 0.0000 0.7457
4.3689 1.3123 1.5937
2.1289 -1.3123 3.0320
4.2797 0.0000 3.8799
4.3689 -1.3123 1.5937
```